No. 1
This entry pairs a crystal structure of KBe2B3O7 with its computed XRD peak list. Radiation: Cu Kα X-rays. Structure: a structure optimized by DFT (PBE).

Structural model:
Lattice parameters (Å, degrees): 7.7118 17.7347 4.4125 90.00 90.00 90.00
Fractional positions:
K 0.0000 0.1358 0.0000
K 0.0000 0.6474 0.5895
K 0.5000 0.3526 0.0895
K 0.5000 0.8642 0.5000
Be 0.1766 0.4626 0.6837
Be 0.1883 0.9587 0.0244
Be 0.3117 0.0413 0.5244
Be 0.3234 0.5374 0.1837
Be 0.6766 0.5374 0.1837
Be 0.6883 0.0413 0.5244
Be 0.8117 0.9587 0.0244
Be 0.8234 0.4626 0.6837
B 0.0000 0.4908 0.1786
B 0.0000 0.9804 0.5221
B 0.1600 0.8156 0.9486
B 0.1663 0.3073 0.5829
B 0.3337 0.6927 0.0829
B 0.3400 0.1844 0.4486
B 0.5000 0.0196 0.0221
B 0.5000 0.5092 0.6786
B 0.6600 0.1844 0.4486
B 0.6663 0.6927 0.0829
B 0.8337 0.3073 0.5829
B 0.8400 0.8156 0.9486
O 0.0000 0.2767 0.5478
O 0.0000 0.4894 0.8666
O 0.0000 0.8305 0.8084
O 0.0000 0.9730 0.2094
O 0.1553 0.4930 0.3333
O 0.1570 0.9871 0.6732
O 0.1973 0.7392 0.9844
O 0.2094 0.3746 0.6930
O 0.2384 0.1271 0.5371
O 0.2616 0.8729 0.0371
O 0.2906 0.6254 0.1930
O 0.3027 0.2608 0.4844
O 0.3430 0.0129 0.1732
O 0.3447 0.5070 0.8333
O 0.5000 0.0270 0.7094
O 0.5000 0.1695 0.3084
O 0.5000 0.5106 0.3666
O 0.5000 0.7233 0.0478
O 0.6553 0.5070 0.8333
O 0.6570 0.0129 0.1732
O 0.6973 0.2608 0.4844
O 0.7094 0.6254 0.1930
O 0.7384 0.8729 0.0371
O 0.7616 0.1271 0.5371
O 0.7906 0.3746 0.6930
O 0.8027 0.7392 0.9844
O 0.8430 0.9871 0.6732
O 0.8447 0.4930 0.3333

The 12 most intense peaks (5° ≤ 2θ ≤ 70°), by intensity:
| 2theta | intensity |
| --- | --- |
| 27.75 | 100.0 |
| 31.22 | 88.7 |
| 32.43 | 75.8 |
| 9.98 | 48.1 |
| 20.74 | 40.3 |
| 30.24 | 38.8 |
| 43.52 | 33.1 |
| 40.14 | 31.2 |
| 23.77 | 28.8 |
| 25.17 | 25.9 |
| 43.78 | 25.1 |
| 40.70 | 22.9 |

=====

No. 2
This entry pairs a crystal structure of KBe2B3O7 with its computed XRD peak list. Radiation: Cu Kα X-rays. Structure: a structure optimized by DFT (PBE).

Structural model:
Lattice parameters (Å, degrees): 6.9250 6.9250 6.7655 108.60 108.60 81.13
Fractional positions:
K 0.1753 0.8247 0.7500
K 0.8247 0.1753 0.2500
Be 0.0542 0.6348 0.1562
Be 0.3652 0.9458 0.3438
Be 0.6348 0.0542 0.6562
Be 0.9458 0.3652 0.8438
B 0.2316 0.2668 0.1815
B 0.2668 0.2316 0.6815
B 0.4494 0.5506 0.2500
B 0.5506 0.4494 0.7500
B 0.7332 0.7684 0.3185
B 0.7684 0.7332 0.8185
O 0.0567 0.3837 0.1102
O 0.0799 0.2250 0.6979
O 0.2250 0.0799 0.1979
O 0.2966 0.7034 0.2500
O 0.3522 0.4209 0.7356
O 0.3837 0.0567 0.6102
O 0.4209 0.3522 0.2356
O 0.5791 0.6478 0.7644
O 0.6163 0.9433 0.3898
O 0.6478 0.5791 0.2644
O 0.7034 0.2966 0.7500
O 0.7750 0.9200 0.8021
O 0.9200 0.7750 0.3021
O 0.9433 0.6163 0.8898

The 12 most intense peaks (5° ≤ 2θ ≤ 70°), by intensity:
| 2theta | intensity |
| --- | --- |
| 29.09 | 100.0 |
| 39.70 | 52.7 |
| 42.77 | 35.2 |
| 28.33 | 31.8 |
| 31.23 | 30.8 |
| 27.43 | 28.3 |
| 22.52 | 27.9 |
| 27.19 | 23.4 |
| 33.77 | 20.4 |
| 44.96 | 16.5 |
| 50.71 | 13.3 |
| 42.88 | 13.2 |

=====

No. 3
This entry pairs a crystal structure of La3BeB2Pt9 with its computed XRD peak list. Radiation: Cu Kα X-rays. Structure: a structure optimized by DFT (PBE).

Structural model:
Lattice parameters (Å, degrees): 5.8442 5.8442 9.0460 90.00 90.00 120.00
Fractional positions:
La 0.0000 0.0000 0.0000
La 0.3333 0.6667 0.6217
La 0.6667 0.3333 0.3783
Be 0.0000 0.0000 0.5000
B 0.3333 0.6667 0.1573
B 0.6667 0.3333 0.8427
Pt 0.0000 0.5000 0.0000
Pt 0.1628 0.3256 0.2997
Pt 0.1628 0.8372 0.2997
Pt 0.3256 0.1628 0.7003
Pt 0.5000 0.0000 0.0000
Pt 0.5000 0.5000 0.0000
Pt 0.6744 0.8372 0.2997
Pt 0.8372 0.1628 0.7003
Pt 0.8372 0.6744 0.7003

The 12 most intense peaks (5° ≤ 2θ ≤ 70°), by intensity:
| 2theta | intensity |
| --- | --- |
| 36.88 | 100.0 |
| 40.86 | 72.8 |
| 29.63 | 44.3 |
| 63.70 | 24.8 |
| 54.41 | 20.5 |
| 63.18 | 14.2 |
| 34.63 | 7.2 |
| 26.43 | 6.4 |
| 20.10 | 4.8 |
| 46.87 | 4.7 |
| 9.78 | 4.6 |
| 57.01 | 4.1 |

=====

No. 4
This entry pairs a crystal structure of La2BeBPt6 with its computed XRD peak list. Radiation: Cu Kα X-rays. Structure: a structure optimized by DFT (PBE).

Structural model:
Lattice parameters (Å, degrees): 6.6200 6.6200 6.6200 128.21 128.21 76.29
Fractional positions:
La 0.0000 0.5000 0.5000
La 0.5000 0.0000 0.5000
Be 0.3549 0.3549 0.0000
B 0.8571 0.8571 0.0000
Pt 0.0050 0.0050 0.4917
Pt 0.0050 0.5133 0.0000
Pt 0.0633 0.0633 0.0000
Pt 0.5133 0.0050 0.0000
Pt 0.5133 0.5133 0.5083
Pt 0.5668 0.5668 0.0000

The 12 most intense peaks (5° ≤ 2θ ≤ 70°), by intensity:
| 2theta | intensity |
| --- | --- |
| 35.52 | 100.0 |
| 44.31 | 31.1 |
| 34.45 | 19.4 |
| 57.30 | 18.3 |
| 64.46 | 10.3 |
| 41.11 | 9.2 |
| 62.41 | 8.4 |
| 46.97 | 7.8 |
| 27.74 | 7.4 |
| 17.03 | 6.8 |
| 62.02 | 5.5 |
| 57.71 | 5.3 |

=====

Question: Number 3 is which compound?
Answer: La3BeB2Pt9